Simulated powder XRD pattern of Dy2Re3Mo for CuKα, from a DFT-relaxed cell (GGA-PBE, Alexandria).
Intensities are scaled so that the largest is 100.

a b c (Å): 9.3892 5.4350 5.4607
angles (deg): 90.00 125.04 90.00
Fractional positions:
Dy1 0.1241 0.0000 0.3728
Dy2 0.3759 0.5000 0.6272
Dy3 0.6241 0.5000 0.3728
Dy4 0.8759 0.0000 0.6272
Re1 0.0000 0.5000 0.0000
Re2 0.2500 0.2500 0.0000
Re3 0.2500 0.7500 0.0000
Re4 0.5000 0.0000 0.0000
Re5 0.7500 0.2500 0.0000
Re6 0.7500 0.7500 0.0000
Mo1 0.0000 0.5000 0.5000
Mo2 0.5000 0.0000 0.5000

Most intense lines, 15 to 90 degrees two-theta, in order of rising 2θ:
h k l, 2θ (°), I_rel
0 0 1, 19.9, 11
1 1 1, 32.8, 32
2 0 1, 38.6, 33
2 2 -1, 38.8, 100
4 0 -1, 39.0, 19
0 0 2, 40.3, 15
2 2 0, 40.7, 46
4 2 0, 58.8, 12
4 0 1, 62.7, 15
5 1 0, 62.8, 15
2 2 2, 68.8, 22
6 2 -2, 69.3, 14